(1)
Cs2YWCl6: computed powder XRD pattern (Cu Ka), based on a structure optimized by DFT (PBE).
Lines closer than 0.1° are merged.

Largest 12 diffraction maxima, in order of falling intensity, 10° ≤ 2θ ≤ 80°:
2θ 24.32, I = 100; 2θ 34.66, I = 53; 2θ 42.79, I = 45; 2θ 49.83, I = 36; 2θ 67.74, I = 24; 2θ 56.20, I = 21; 2θ 62.12, I = 12; 2θ 78.38, I = 12; 2θ 14.82, I = 10; 2θ 29.90, I = 8; 2θ 73.13, I = 6; 2θ 28.60, I = 5

Cell and atoms:
```
10
Lattice="0.000 5.176 5.176 5.176 0.000 5.176 5.176 5.176 0.000" Properties=species:S:1:pos:R:3 pbc="T T T"
Cs 2.588 2.588 2.588
Cs 7.764 7.764 7.764
Y 0.000 0.000 0.000
W 5.176 5.176 5.176
Cl 5.176 5.176 2.680
Cl 5.176 2.680 5.176
Cl 7.672 5.176 5.176
Cl 2.680 5.176 5.176
Cl 5.176 7.672 5.176
Cl 5.176 5.176 7.672
```

=====

(2)
La4HgIr2: computed powder XRD pattern (Cu Ka), based on a structure optimized by DFT (PBE).
Lines closer than 0.1° are merged.

Largest 12 diffraction maxima, in order of falling intensity, 10° ≤ 2θ ≤ 80°:
2θ 28.26, I = 100; 2θ 42.74, I = 40; 2θ 37.94, I = 27; 2θ 12.19, I = 19; 2θ 52.03, I = 19; 2θ 69.53, I = 16; 2θ 36.33, I = 15; 2θ 48.64, I = 10; 2θ 58.46, I = 8; 2θ 75.07, I = 7; 2θ 78.26, I = 7; 2θ 18.33, I = 7

Cell and atoms:
```
7
Lattice="2.116 1.222 14.517 -2.116 1.222 14.517 0.000 -2.443 14.517" Properties=species:S:1:pos:R:3 pbc="T T T"
La 0.000 0.000 5.453
La 0.000 0.000 12.135
La 0.000 0.000 31.415
La 0.000 0.000 38.097
Hg 0.000 0.000 0.000
Ir 0.000 0.000 18.479
Ir 0.000 0.000 25.071
```